This entry pairs a crystal structure of Rb3Mn3NbSe8 with its calculated XRD peak list. Radiation: Cu Kα (weighted mean of Kα1 and Kα2). Structure: a PBE-relaxed structure.
Peak positions follow from Bragg's law for the DFT cell and can differ from measured ones.

Peak list (10 most intense, 2θ from 15° to 90°, by angle)
d_spacing	I (rel.)
2.924	100
2.908	49
2.743	23
2.677	14
2.399	17
2.236	23
1.934	18
1.923	36
1.610	16
1.529	15

```
Rb3Mn3NbSe8
1.0
6.650 -3.867 0.000
6.650 3.867 0.000
-4.451 0.000 8.030
Rb Mn Nb Se
3 3 1 8
Direct
0.000 0.000 0.000 Rb
0.000 0.500 0.000 Rb
0.500 0.000 0.000 Rb
0.000 0.500 0.500 Mn
0.500 0.000 0.500 Mn
0.500 0.500 0.500 Mn
0.000 0.000 0.500 Nb
0.224 0.726 0.677 Se
0.226 0.226 0.678 Se
0.274 0.776 0.323 Se
0.277 0.277 0.331 Se
0.723 0.723 0.669 Se
0.726 0.224 0.677 Se
0.774 0.774 0.322 Se
0.776 0.274 0.323 Se
```